Record 1
Diffraction record for K2Pd2Se5. The powder XRD pattern is theoretical, not measured: it uses a cell relaxed with PBE and λ = 1.5418 Å (Cu Kα).
Intensities are scaled so that the largest is 100.

Structure:
Lattice parameters (Å, degrees): 11.2482 8.5475 10.8939 90.00 106.25 90.00
Space group C2/c (No. 15)
Unique sites:
K 0.2431 0.1927 0.2984
Pd 0.0965 0.3226 0.9349
Se 0.0000 0.1454 0.7500
Se 0.0106 0.4153 0.3671
Se 0.1904 0.0650 0.9962

Largest 10 diffraction maxima, low angle first, 2θ from 5° to 70°:
2theta  d/Å  Rel. int.
13.21  6.702  39
14.41  6.149  100
16.94  5.234  27
20.06  4.426  44
26.88  3.317  29
29.37  3.041  32
33.65  2.663  31
34.22  2.620  31
34.59  2.593  28
47.72  1.906  36



Record 2
Diffraction record for Dy4Ga16Co3. The powder XRD pattern is theoretical, not measured: it uses a cell relaxed with PBE and λ = 1.5418 Å (Cu Kα).
Intensities are scaled so that the largest is 100.

Structure:
Lattice parameters (Å, degrees): 6.0118 6.0118 11.0772 90.00 90.00 90.00
Space group P4/mmm (No. 123)
Unique sites:
Dy 0.0000 0.5000 0.1948
Ga 0.0000 0.0000 0.1964
Ga 0.2196 0.2196 0.0000
Ga 0.2503 0.2503 0.3844
Ga 0.5000 0.5000 0.2181
Co 0.0000 0.5000 0.5000
Co 0.5000 0.5000 0.0000

Largest 10 diffraction maxima, low angle first, 2θ from 5° to 70°:
2theta  d/Å  Rel. int.
20.90  4.251  18
30.82  2.901  14
32.11  2.788  24
33.93  2.642  56
38.62  2.331  100
40.73  2.215  29
42.53  2.125  71
44.48  2.037  18
60.35  1.534  34
61.72  1.503  22



Record 3
Diffraction record for LuCuGeTe2S. The powder XRD pattern is theoretical, not measured: it uses a cell relaxed with PBE and λ = 1.5418 Å (Cu Kα).
Intensities are scaled so that the largest is 100.

Structure:
Lattice parameters (Å, degrees): 4.0241 14.5854 9.8892 90.00 90.00 90.00
Space group Cmcm (No. 63)
Unique sites:
Lu 0.0000 0.0000 0.0000
Cu 0.0000 0.4815 0.2500
Ge 0.0000 0.2354 0.7500
Te 0.0000 0.3478 0.0595
S 0.0000 0.0643 0.2500

Largest 10 diffraction maxima, low angle first, 2θ from 5° to 70°:
2theta  d/Å  Rel. int.
12.14  7.293  19
15.09  5.869  16
17.94  4.945  21
28.80  3.100  50
29.74  3.004  17
30.21  2.958  18
34.14  2.626  100
35.75  2.512  28
41.39  2.182  22
45.06  2.012  23



Record 4
Diffraction record for K5ReO5. The powder XRD pattern is theoretical, not measured: it uses a cell relaxed with PBE and λ = 1.5418 Å (Cu Kα).
Intensities are scaled so that the largest is 100.

Structure:
Lattice parameters (Å, degrees): 11.4652 5.5433 7.0929 90.00 111.42 90.00
Space group C2 (No. 5)
Unique sites:
K 0.0000 0.0000 0.0000
K 0.1687 0.4955 0.3345
K 0.1834 0.5336 0.8254
Re 0.0000 0.0614 0.5000
O 0.0000 0.3959 0.5000
O 0.1135 0.9429 0.3879
O 0.1375 0.0512 0.7773

Largest 10 diffraction maxima, low angle first, 2θ from 5° to 70°:
2theta  d/Å  Rel. int.
13.41  6.603  96
17.13  5.176  49
18.03  4.919  100
20.62  4.308  48
29.84  2.994  91
29.95  2.984  91
32.30  2.772  59
34.66  2.588  49
36.85  2.439  70
48.09  1.892  37



Record 5
Diffraction record for ZrS2. The powder XRD pattern is theoretical, not measured: it uses a cell relaxed with PBE and λ = 1.5418 Å (Cu Kα).
Intensities are scaled so that the largest is 100.

Structure:
Lattice parameters (Å, degrees): 3.5841 6.2046 35.2016 90.00 90.00 90.00
Space group Cmc2_1 (No. 36)
Unique sites:
Zr 0.0000 0.0922 0.0000
Zr 0.0000 0.2419 0.3187
S 0.0000 0.0915 0.8635
S 0.0000 0.0915 0.7739
S 0.0000 0.4256 0.0447
S 0.0000 0.4257 0.9553

Largest 10 diffraction maxima, low angle first, 2θ from 5° to 70°:
2theta  d/Å  Rel. int.
5.02  17.601  100
10.05  8.800  37
15.10  5.867  15
29.78  3.000  8
33.95  2.641  6
35.40  2.536  8
36.98  2.431  8
38.68  2.328  5
44.40  2.040  5
51.05  1.789  6



Record 6
Diffraction record for Au6BrCl. The powder XRD pattern is theoretical, not measured: it uses a cell relaxed with PBE and λ = 1.5418 Å (Cu Kα).
Intensities are scaled so that the largest is 100.

Structure:
Lattice parameters (Å, degrees): 9.3415 9.3415 9.3415 90.00 90.00 90.00
Space group F-43m (No. 216)
Unique sites:
Au 0.0000 0.0000 0.2121
Br 0.2500 0.2500 0.7500
Cl 0.0000 0.0000 0.5000

Largest 10 diffraction maxima, low angle first, 2θ from 5° to 70°:
2theta  d/Å  Rel. int.
16.44  5.393  28
19.00  4.671  37
27.00  3.303  7
33.22  2.697  100
38.55  2.335  54
42.17  2.143  28
47.69  1.907  12
50.79  1.798  38
55.66  1.651  27
66.38  1.408  23



What did the third record say?
Diffraction record for LuCuGeTe2S. The powder XRD pattern is theoretical, not measured: it uses a cell relaxed with PBE and λ = 1.5418 Å (Cu Kα).
Intensities are scaled so that the largest is 100.

Structure:
Lattice parameters (Å, degrees): 4.0241 14.5854 9.8892 90.00 90.00 90.00
Space group Cmcm (No. 63)
Unique sites:
Lu 0.0000 0.0000 0.0000
Cu 0.0000 0.4815 0.2500
Ge 0.0000 0.2354 0.7500
Te 0.0000 0.3478 0.0595
S 0.0000 0.0643 0.2500

Largest 10 diffraction maxima, low angle first, 2θ from 5° to 70°:
2theta  d/Å  Rel. int.
12.14  7.293  19
15.09  5.869  16
17.94  4.945  21
28.80  3.100  50
29.74  3.004  17
30.21  2.958  18
34.14  2.626  100
35.75  2.512  28
41.39  2.182  22
45.06  2.012  23